Diffraction record for Ba2CaFe2O6. The powder diffractogram is computed, not measured: it uses a DFT-relaxed cell (PBE+U, Alexandria) and Cu Kα (λ = 1.5418 Å).
Peak positions follow from Bragg's law for the DFT cell and can differ from measured ones.

Cell and atoms:
```
11
Lattice="3.046 1.759 5.958 -3.046 1.759 5.958 0.000 -3.518 5.958" Properties=species:S:1:pos:R:3 pbc="T T T"
Ba 0.000 0.000 3.770
Ba 0.000 0.000 14.104
Ca 0.000 0.000 0.000
Fe 0.000 0.000 7.660
Fe 0.000 0.000 10.214
O -1.566 -0.904 10.317
O 0.000 -1.809 7.558
O -1.566 0.904 7.558
O 1.566 -0.904 10.317
O 0.000 1.809 10.317
O 1.566 0.904 7.558
```

The 6 most intense peaks (2θ from 10° to 90°), in order of rising 2θ:
- 14.87°, I = 33
- 29.32°, I = 100
- 30.20°, I = 76
- 33.03°, I = 23
- 42.59°, I = 34
- 52.55°, I = 33